The following is a simulated X-ray diffraction stick pattern of Zr3Ti4Ga2. It was derived from a PBE-relaxed structure, using Cu Kα, 1.54184 Å.

Top 8 peaks for 5° ≤ 2θ ≤ 70°, by angle:
| 2θ (°) | intensity | h k l |
| --- | --- | --- |
| 38.1 | 34 | 2 0 -3 |
| 38.3 | 100 | 0 2 0 |
| 38.5 | 66 | 3 1 0 |
| 55.1 | 22 | 2 2 -3 |
| 55.7 | 11 | 4 0 3 |
| 68.7 | 10 | 1 1 -6 |
| 69.2 | 21 | 5 1 -3 |
| 69.4 | 11 | 3 3 0 |

Cell and atoms:
```
data_Zr3Ti4Ga2
_cell_length_a 8.083
_cell_length_b 4.698
_cell_length_c 8.690
_cell_angle_alpha 90.00
_cell_angle_beta 90.50
_cell_angle_gamma 90.00
_symmetry_space_group_name_H-M 'C 1 2/m 1'
_symmetry_Int_Tables_number 12
loop_
_symmetry_equiv_pos_as_xyz
'x,y,z'
'-x,-y,-z'
'-x,y,-z'
'x,-y,z'
'x+1/2,y+1/2,z'
'-x+1/2,-y+1/2,-z'
'-x+1/2,y+1/2,-z'
'x+1/2,-y+1/2,z'
loop_
_atom_site_label
_atom_site_fract_x
_atom_site_fract_y
_atom_site_fract_z
Zr1 0.000 0.000 0.000
Zr2 0.166 0.500 0.439
Ti1 0.001 0.000 0.673
Ti2 0.166 0.500 0.105
Ga1 0.167 0.500 0.785
```